[1]
Theoretical X-ray diffraction stick pattern of Li4Ni7P6O24 for a wavelength of 1.5418 Å, from a DFT-relaxed cell (GGA+U, the Materials Project).
Peak positions follow from Bragg's law for the DFT cell and can differ from measured ones.

Cell and atoms:
```
data_Li4Ni7P6O24
_chemical_formula_sum 'Li8 Ni14 P12 O48'
_space_group_name_H-M_alt 'C 1 m 1'
_space_group_IT_number 8
_space_group_name_Hall 'C -2y'
_cell_length_a 10.2792
_cell_length_b 14.0049
_cell_length_c 6.5090
_cell_angle_alpha 90.00
_cell_angle_beta 106.34
_cell_angle_gamma 90.00
loop_
_atom_site_label
_atom_site_type_symbol
_atom_site_fract_x
_atom_site_fract_y
_atom_site_fract_z
_atom_site_occupancy
Li1 Li 0.0000 0.0000 0.0000 1
Li2 Li 0.0724 0.3902 0.9906 1
Li3 Li 0.3629 0.0000 0.0847 1
Ni1 Ni 0.0105 0.0000 0.5018 1
Ni2 Ni 0.0131 0.3227 0.5040 1
Ni3 Ni 0.1949 0.1784 0.3182 1
Ni4 Ni 0.3300 0.3184 0.6920 1
P1 P 0.1112 0.1804 0.8068 1
P2 P 0.1801 0.5000 0.4257 1
P3 P 0.3452 0.0000 0.5918 1
P4 P 0.4165 0.3145 0.2014 1
O1 O 0.0020 0.0990 0.7361 1
O2 O 0.0173 0.2717 0.2077 1
O3 O 0.0178 0.0990 0.2659 1
O4 O 0.0180 0.2709 0.8053 1
O5 O 0.0612 0.5000 0.2188 1
O6 O 0.1720 0.4096 0.5662 1
O7 O 0.1832 0.2094 0.6317 1
O8 O 0.2096 0.0000 0.6419 1
O9 O 0.2108 0.1501 0.0182 1
O10 O 0.3108 0.3383 0.9918 1
O11 O 0.3129 0.5000 0.3678 1
O12 O 0.3468 0.2846 0.3796 1
O13 O 0.3546 0.0885 0.4450 1
O14 O 0.4608 0.0000 0.8014 1
```

Peak list (8 most intense, 2θ = 10–80°, in order of falling intensity)
two_theta, I (rel.), index
14.18, 100, 0 0 1
33.33, 77, 3 3 0
33.58, 72, 1 3 -2
23.99, 65, 1 3 -1
12.64, 58, 0 2 0
56.56, 25, 2 0 -4
39.42, 25, 3 3 1
42.39, 23, 3 5 0

---

[2]
Theoretical X-ray diffraction stick pattern of Sr2MnNbO6 for a wavelength of 1.5418 Å, from a DFT-relaxed cell (GGA+U, the Materials Project).
Peak positions follow from Bragg's law for the DFT cell and can differ from measured ones.

Cell and atoms:
```
data_Sr2MnNbO6
_chemical_formula_sum 'Sr8 Mn4 Nb4 O24'
_space_group_name_H-M_alt 'P 1 21/m 1'
_space_group_IT_number 11
_space_group_name_Hall '-P 2yb'
_cell_length_a 5.7688
_cell_length_b 7.9381
_cell_length_c 11.4528
_cell_angle_alpha 90.00
_cell_angle_beta 90.00
_cell_angle_gamma 90.00
loop_
_atom_site_label
_atom_site_type_symbol
_atom_site_fract_x
_atom_site_fract_y
_atom_site_fract_z
_atom_site_occupancy
Sr1 Sr 0.2455 0.0001 0.3743 1
Sr2 Sr 0.2553 0.0011 0.8738 1
Mn1 Mn 0.2434 0.2500 0.1249 1
Mn2 Mn 0.2564 0.2500 0.6249 1
Nb1 Nb 0.2337 0.7500 0.1247 1
Nb2 Nb 0.2661 0.7500 0.6254 1
O1 O 0.0353 0.7500 0.5011 1
O2 O 0.0356 0.2500 0.7526 1
O3 O 0.0369 0.2500 0.9916 1
O4 O 0.0514 0.7500 0.7562 1
O5 O 0.2324 0.0031 0.1256 1
O6 O 0.2676 0.0030 0.6258 1
O7 O 0.4546 0.7500 0.2530 1
O8 O 0.4583 0.2500 0.2554 1
O9 O 0.4583 0.7500 0.9979 1
O10 O 0.4688 0.2500 0.4942 1
```

Peak list (8 most intense, 2θ = 10–80°, in order of falling intensity)
two_theta, I (rel.), index
31.51, 100, 1 2 2
44.59, 37, 2 0 -4
31.00, 27, 2 0 0
31.24, 26, 0 0 4
65.77, 21, 2 4 4
55.76, 20, 1 2 6
55.47, 20, 3 2 2
45.72, 18, 0 4 0

---

[3]
Theoretical X-ray diffraction stick pattern of Li4Fe5NiO12 for a wavelength of 1.5418 Å, from a DFT-relaxed cell (GGA+U, the Materials Project).
Peak positions follow from Bragg's law for the DFT cell and can differ from measured ones.

Cell and atoms:
```
data_Li4Fe5NiO12
_chemical_formula_sum 'Li8 Fe10 Ni2 O24'
_space_group_name_H-M_alt 'C 1 2 1'
_space_group_IT_number 5
_space_group_name_Hall 'C 2y'
_cell_length_a 5.1191
_cell_length_b 8.8471
_cell_length_c 10.2364
_cell_angle_alpha 90.00
_cell_angle_beta 90.75
_cell_angle_gamma 90.00
loop_
_atom_site_label
_atom_site_type_symbol
_atom_site_fract_x
_atom_site_fract_y
_atom_site_fract_z
_atom_site_occupancy
Li1 Li 0.0979 0.0000 0.2501 1
Li2 Li 0.0979 0.5179 0.2524 1
Fe1 Fe 0.0000 0.1004 0.5000 1
Fe2 Fe 0.0000 0.2636 0.0000 1
Fe3 Fe 0.0000 0.4294 0.5000 1
Fe4 Fe 0.0000 0.5999 0.0000 1
Fe5 Fe 0.0000 0.9273 0.0000 1
Ni1 Ni 0.0000 0.7606 0.5000 1
O1 O 0.1510 0.2621 0.5958 1
O2 O 0.1553 0.0849 0.8937 1
O3 O 0.1583 0.5776 0.6084 1
O4 O 0.1591 0.7710 0.9013 1
O5 O 0.1744 0.9438 0.6016 1
O6 O 0.1750 0.4338 0.8938 1
```

Peak list (8 most intense, 2θ = 10–80°, in order of falling intensity)
two_theta, I (rel.), index
17.33, 100, 0 0 2
44.14, 16, 1 3 -3
44.43, 16, 1 3 3
36.18, 15, 1 3 -1
36.29, 15, 1 3 1
35.06, 13, 2 0 0
39.56, 12, 2 0 2
57.50, 9, 1 3 -5

---

[4]
Theoretical X-ray diffraction stick pattern of Pr8Ni4O17 for a wavelength of 1.5418 Å, from a DFT-relaxed cell (GGA+U, the Materials Project).
Peak positions follow from Bragg's law for the DFT cell and can differ from measured ones.

Cell and atoms:
```
data_Pr8Ni4O17
_chemical_formula_sum 'Pr8 Ni4 O17'
_space_group_name_H-M_alt 'P 1'
_space_group_IT_number 1
_space_group_name_Hall 'P 1'
_cell_length_a 5.8140
_cell_length_b 5.8913
_cell_length_c 12.4161
_cell_angle_alpha 91.60
_cell_angle_beta 92.34
_cell_angle_gamma 90.89
loop_
_atom_site_label
_atom_site_type_symbol
_atom_site_fract_x
_atom_site_fract_y
_atom_site_fract_z
_atom_site_occupancy
Pr1 Pr 0.0000 0.0000 0.0000 1
Pr2 Pr 0.0118 0.4567 0.5080 1
Pr3 Pr 0.0482 0.0194 0.7053 1
Pr4 Pr 0.0947 0.5263 0.2279 1
Pr5 Pr 0.5351 0.9075 0.5316 1
Pr6 Pr 0.5603 0.4512 0.0023 1
Pr7 Pr 0.5907 0.4901 0.7244 1
Pr8 Pr 0.6115 0.9719 0.2303 1
Ni1 Ni 0.0473 0.4855 0.9076 1
Ni2 Ni 0.1097 0.0192 0.3491 1
Ni3 Ni 0.5156 0.9680 0.8845 1
Ni4 Ni 0.5787 0.4963 0.3287 1
O1 O 0.0029 0.9046 0.1857 1
O2 O 0.1806 0.0875 0.5140 1
O3 O 0.2702 0.2556 0.8719 1
O4 O 0.2820 0.7362 0.9434 1
O5 O 0.3409 0.7674 0.3547 1
O6 O 0.3530 0.2484 0.2975 1
O7 O 0.3665 0.5631 0.5749 1
O8 O 0.4223 0.8828 0.7326 1
O9 O 0.5130 0.5876 0.1727 1
O10 O 0.5951 0.0605 0.0456 1
O11 O 0.7643 0.2321 0.6057 1
O12 O 0.7723 0.1833 0.8451 1
O13 O 0.7847 0.6954 0.8945 1
O14 O 0.8009 0.7193 0.3846 1
O15 O 0.8518 0.2714 0.3315 1
O16 O 0.8531 0.7146 0.6366 1
O17 O 0.9842 0.3916 0.0582 1
```

Peak list (8 most intense, 2θ = 10–80°, in order of falling intensity)
two_theta, I (rel.), index
30.33, 100, 0 2 0
29.93, 61, 1 1 -3
30.79, 47, 2 0 0
30.59, 41, 1 -1 3
23.18, 34, 1 1 1
31.47, 32, 1 1 3
43.40, 28, 2 -2 0
43.57, 22, 1 1 5

---

[5]
Theoretical X-ray diffraction stick pattern of Mg2Mo2O5 for a wavelength of 1.5418 Å, from a DFT-relaxed cell (GGA+U, the Materials Project).
Peak positions follow from Bragg's law for the DFT cell and can differ from measured ones.

Cell and atoms:
```
data_Mg2Mo2O5
_chemical_formula_sum 'Mg4 Mo4 O10'
_space_group_name_H-M_alt 'P m c 21'
_space_group_IT_number 26
_space_group_name_Hall 'P 2c -2'
_cell_length_a 3.3351
_cell_length_b 13.7562
_cell_length_c 5.2172
_cell_angle_alpha 90.00
_cell_angle_beta 90.00
_cell_angle_gamma 90.00
loop_
_atom_site_label
_atom_site_type_symbol
_atom_site_fract_x
_atom_site_fract_y
_atom_site_fract_z
_atom_site_occupancy
Mg1 Mg 0.0000 0.0489 0.0000 1
Mg2 Mg 0.0000 0.4389 0.6414 1
Mo1 Mo 0.5000 0.1703 0.4997 1
Mo2 Mo 0.5000 0.3326 0.1324 1
O1 O 0.0000 0.0971 0.6344 1
O2 O 0.0000 0.4155 0.0236 1
O3 O 0.5000 0.0754 0.1928 1
O4 O 0.5000 0.2584 0.8425 1
O5 O 0.5000 0.4103 0.4550 1
```

Peak list (8 most intense, 2θ = 10–80°, in order of falling intensity)
two_theta, I (rel.), index
21.38, 100, 0 2 1
31.15, 92, 0 4 1
34.45, 87, 0 0 2
29.77, 62, 1 2 0
41.50, 50, 1 4 1
60.45, 49, 1 1 3
26.73, 44, 1 0 0
48.14, 35, 1 6 0

---

[6]
Theoretical X-ray diffraction stick pattern of Na3Ni2P2C2O14 for a wavelength of 1.5418 Å, from a DFT-relaxed cell (GGA+U, the Materials Project).
Peak positions follow from Bragg's law for the DFT cell and can differ from measured ones.

Cell and atoms:
```
data_Na3Ni2P2C2O14
_chemical_formula_sum 'Na3 Ni2 P2 C2 O14'
_space_group_name_H-M_alt 'P 1'
_space_group_IT_number 1
_space_group_name_Hall 'P 1'
_cell_length_a 5.1715
_cell_length_b 6.5129
_cell_length_c 8.8622
_cell_angle_alpha 90.92
_cell_angle_beta 91.64
_cell_angle_gamma 90.02
loop_
_atom_site_label
_atom_site_type_symbol
_atom_site_fract_x
_atom_site_fract_y
_atom_site_fract_z
_atom_site_occupancy
Na1 Na 0.0000 0.0000 0.0000 1
Na2 Na 0.0008 0.4734 0.9983 1
Na3 Na 0.5092 0.5119 0.5094 1
Ni1 Ni 0.5331 0.7357 0.9069 1
Ni2 Ni 0.9709 0.2264 0.5960 1
P1 P 0.0349 0.7338 0.6756 1
P2 P 0.4737 0.2340 0.8269 1
C1 C 0.0429 0.2364 0.3239 1
C2 C 0.4696 0.7382 0.1811 1
O1 O 0.0813 0.2408 0.1847 1
O2 O 0.1745 0.2340 0.7922 1
O3 O 0.2276 0.2336 0.4262 1
O4 O 0.2798 0.7395 0.0797 1
O5 O 0.3291 0.7259 0.7187 1
O6 O 0.4324 0.7350 0.3185 1
O7 O 0.5418 0.4222 0.9313 1
O8 O 0.5459 0.0484 0.9267 1
O9 O 0.6190 0.2406 0.6789 1
O10 O 0.6969 0.7397 0.1218 1
O11 O 0.8151 0.2339 0.3808 1
O12 O 0.8876 0.7346 0.8262 1
O13 O 0.9643 0.5444 0.5746 1
O14 O 0.9688 0.9191 0.5775 1
```

Peak list (8 most intense, 2θ = 10–80°, in order of falling intensity)
two_theta, I (rel.), index
27.39, 100, 0 2 0
26.12, 74, 1 0 -2
20.12, 63, 1 0 1
21.95, 61, 1 -1 0
34.71, 56, 2 0 0
16.77, 55, 0 1 -1
17.03, 52, 0 1 1
34.07, 39, -1 2 1

---

[7]
Theoretical X-ray diffraction stick pattern of Li8Mn3Fe5B8O24 for a wavelength of 1.5418 Å, from a DFT-relaxed cell (GGA+U, the Materials Project).
Peak positions follow from Bragg's law for the DFT cell and can differ from measured ones.

Cell and atoms:
```
data_Li8Mn3Fe5B8O24
_chemical_formula_sum 'Li8 Mn3 Fe5 B8 O24'
_space_group_name_H-M_alt 'P 1'
_space_group_IT_number 1
_space_group_name_Hall 'P 1'
_cell_length_a 5.2404
_cell_length_b 5.2468
_cell_length_c 20.7784
_cell_angle_alpha 90.71
_cell_angle_beta 90.58
_cell_angle_gamma 119.89
loop_
_atom_site_label
_atom_site_type_symbol
_atom_site_fract_x
_atom_site_fract_y
_atom_site_fract_z
_atom_site_occupancy
Li1 Li 0.0000 0.0000 0.0000 1
Li2 Li 0.0001 0.0004 0.4996 1
Li3 Li 0.0093 0.9861 0.2508 1
Li4 Li 0.0118 0.9864 0.7502 1
Li5 Li 0.3173 0.3310 0.6248 1
Li6 Li 0.3180 0.3313 0.1250 1
Li7 Li 0.3393 0.3020 0.3745 1
Li8 Li 0.3429 0.3059 0.8749 1
Mn1 Mn 0.6646 0.9761 0.8578 1
Mn2 Mn 0.9873 0.6529 0.1083 1
Mn3 Mn 0.9877 0.6528 0.6077 1
Fe1 Fe 0.3407 0.6531 0.9829 1
Fe2 Fe 0.3424 0.6544 0.4820 1
Fe3 Fe 0.6550 0.9759 0.3579 1
Fe4 Fe 0.6650 0.3270 0.7328 1
Fe5 Fe 0.6665 0.3265 0.2333 1
B1 B 0.0035 0.6503 0.3544 1
B2 B 0.0043 0.6496 0.8542 1
B3 B 0.3340 0.6580 0.7296 1
B4 B 0.3348 0.6577 0.2303 1
B5 B 0.6617 0.9923 0.1044 1
B6 B 0.6615 0.9921 0.6040 1
B7 B 0.6716 0.3223 0.9795 1
B8 B 0.6727 0.3226 0.4787 1
O1 O 0.0230 0.9206 0.3482 1
O2 O 0.0342 0.9256 0.8473 1
O3 O 0.0833 0.6776 0.2159 1
O4 O 0.0834 0.6787 0.7150 1
O5 O 0.2414 0.6188 0.8749 1
O6 O 0.2495 0.6273 0.3733 1
O7 O 0.3158 0.3852 0.7234 1
O8 O 0.3168 0.3845 0.2240 1
O9 O 0.3987 0.3045 0.9732 1
O10 O 0.3995 0.3056 0.4726 1
O11 O 0.4114 0.7221 0.0888 1
O12 O 0.4115 0.7221 0.5881 1
O13 O 0.5963 0.9062 0.7486 1
O14 O 0.5966 0.9055 0.2492 1
O15 O 0.6311 0.2293 0.1251 1
O16 O 0.6309 0.2291 0.6249 1
O17 O 0.6920 0.0715 0.9650 1
O18 O 0.6940 0.0731 0.4641 1
O19 O 0.7339 0.3997 0.8384 1
O20 O 0.7377 0.3927 0.3397 1
O21 O 0.9194 0.5841 0.9988 1
O22 O 0.9209 0.5844 0.4980 1
O23 O 0.9380 0.0219 0.0974 1
O24 O 0.9378 0.0217 0.5972 1
```

Peak list (8 most intense, 2θ = 10–80°, in order of falling intensity)
two_theta, I (rel.), index
34.54, 100, 0 0 8
34.19, 88, 2 -1 0
19.55, 68, 1 -1 0
21.49, 63, 1 0 2
25.80, 45, 0 1 -4
40.47, 45, 0 2 -2
21.37, 40, -1 1 2
26.31, 30, 0 1 4

---

[8]
Theoretical X-ray diffraction stick pattern of Mo2P2O11 for a wavelength of 1.5418 Å, from a DFT-relaxed cell (GGA+U, the Materials Project).
Peak positions follow from Bragg's law for the DFT cell and can differ from measured ones.

Cell and atoms:
```
data_Mo2P2O11
_chemical_formula_sum 'Mo4 P4 O22'
_space_group_name_H-M_alt 'P -1'
_space_group_IT_number 2
_space_group_name_Hall '-P 1'
_cell_length_a 6.4377
_cell_length_b 7.6070
_cell_length_c 9.1537
_cell_angle_alpha 74.81
_cell_angle_beta 89.83
_cell_angle_gamma 89.90
loop_
_atom_site_label
_atom_site_type_symbol
_atom_site_fract_x
_atom_site_fract_y
_atom_site_fract_z
_atom_site_occupancy
Mo1 Mo 0.2467 0.3914 0.2049 1
Mo2 Mo 0.2478 0.1842 0.6393 1
P1 P 0.2511 0.5092 0.8293 1
P2 P 0.2512 0.9300 0.3837 1
O1 O 0.0585 0.8032 0.3920 1
O2 O 0.0625 0.6387 0.8049 1
O3 O 0.2404 0.0425 0.8156 1
O4 O 0.2419 0.6237 0.1420 1
O5 O 0.2468 0.0936 0.2489 1
O6 O 0.2485 0.3633 0.9799 1
O7 O 0.2487 0.3562 0.4067 1
O8 O 0.2495 0.4122 0.6960 1
O9 O 0.2547 0.9824 0.5378 1
O10 O 0.4435 0.6335 0.8069 1
O11 O 0.4442 0.8054 0.3843 1
```

Peak list (8 most intense, 2θ = 10–80°, in order of falling intensity)
two_theta, I (rel.), index
18.33, 100, 1 1 0
27.71, 86, 2 0 0
23.69, 68, 0 2 1
26.13, 55, 0 1 -2
17.62, 46, 0 1 -1
29.58, 46, 0 1 3
13.51, 43, 0 1 1
20.10, 36, 0 0 2